1.
Structure and calculated powder diffractogram of InPtNF2 (a structure optimized by DFT (PBE); a wavelength of 1.5418 Å).
Peak positions follow from Bragg's law for the DFT cell and can differ from measured ones.

Most intense lines, 2θ = 15–90°, by angle:
2theta  intensity
18.61  15
26.44  67
30.73  100
37.74  43
49.43  54
57.13  16
64.01  17
76.59  15

Structure:
```
InPtNF2
1.0
4.7672 0.0000 0.0000
0.0000 4.7672 0.0000
0.0000 0.0000 3.6719
In Pt N F
1 1 1 2
Cartesian
0.0000 0.0000 0.0000
2.3836 2.3836 1.8360
2.3836 2.3836 0.0000
0.0000 2.3836 1.8360
2.3836 0.0000 1.8360
```

***

2.
Structure and calculated powder diffractogram of NaInF (a structure optimized by DFT (PBE); a wavelength of 1.5418 Å).
Peak positions follow from Bragg's law for the DFT cell and can differ from measured ones.

Most intense lines, 2θ = 15–90°, by angle:
2theta  intensity
27.56  59
28.71  53
28.97  98
31.21  100
32.25  92
40.22  85
40.41  36
50.33  79

Structure:
```
NaInF
1.0
6.4725 0.0000 0.0000
0.0000 3.1089 0.0000
0.0000 0.0000 6.1648
Na In F
2 2 2
Cartesian
0.0000 0.0000 0.0000
3.2363 0.0000 0.0000
1.6181 1.5545 3.0080
4.8544 1.5545 3.1568
1.6181 1.5545 0.3698
4.8544 1.5545 5.7950
```

***

3.
Structure and calculated powder diffractogram of NaInF (a structure optimized by DFT (PBE); a wavelength of 1.5418 Å).
Peak positions follow from Bragg's law for the DFT cell and can differ from measured ones.

Most intense lines, 2θ = 15–90°, by angle:
2theta  intensity
27.86  100
28.13  53
29.06  49
31.47  95
32.31  89
40.00  34
40.89  78
50.20  74

Structure:
```
NaInF
1.0
3.1727 -6.4057 0.0000
3.1727 6.4057 0.0000
0.0000 0.0000 3.0726
Na In F
2 2 2
Cartesian
1.5863 3.2028 0.0000
1.5863 -3.2028 0.0000
0.0000 0.0000 1.5363
3.1727 0.0000 1.5363
3.1727 3.7071 1.5363
3.1727 -3.7071 1.5363
```

***

4.
Structure and calculated powder diffractogram of Na6InF12 (a structure optimized by DFT (PBE); a wavelength of 1.5418 Å).
Peak positions follow from Bragg's law for the DFT cell and can differ from measured ones.

Most intense lines, 2θ = 15–90°, by angle:
2theta  intensity
21.45  32
22.32  28
27.80  26
28.49  100
41.73  28
46.03  23
47.39  83
56.23  34

Structure:
```
Na6InF12
1.0
5.0779 2.9317 3.1302
-5.0779 2.9317 3.1302
0.0000 -5.8634 3.1302
Na In F
6 1 12
Cartesian
-2.3729 0.7230 3.2175
0.5603 -2.4165 3.2175
-1.8126 -1.6935 6.1733
1.8126 1.6935 3.2175
-0.5603 2.4165 6.1733
2.3729 -0.7230 6.1733
0.0000 0.0000 0.0000
-3.2888 -3.2954 5.2128
-4.4983 1.2005 4.1779
-1.6737 -1.4533 3.6719
1.2095 -4.4958 4.1779
-2.0955 0.7228 5.7189
-0.4218 2.1761 3.6719
0.4218 -2.1761 5.7189
2.0955 -0.7228 3.6719
-1.2095 4.4958 5.2128
1.6737 1.4533 5.7189
4.4983 -1.2004 5.2128
3.2888 3.2954 4.1779
```

***

5.
Structure and calculated powder diffractogram of NaIn3F9 (a structure optimized by DFT (PBE); a wavelength of 1.5418 Å).
Peak positions follow from Bragg's law for the DFT cell and can differ from measured ones.

Most intense lines, 2θ = 15–90°, by angle:
2theta  intensity
18.92  72
22.04  100
24.72  73
25.92  36
29.20  43
29.88  33
33.35  37
50.76  32

Structure:
```
NaIn3F9
1.0
5.6739 0.0000 0.0000
0.0000 8.0657 0.0000
-0.4321 0.0000 8.9690
Na In F
2 6 18
Cartesian
-0.0097 2.0164 3.9572
5.2514 6.0492 5.0118
0.0000 0.0000 0.0000
0.0000 4.0328 0.0000
2.3481 0.0275 6.1972
2.3481 4.0054 6.1972
2.8937 4.0603 2.7718
2.8937 8.0382 2.7718
0.2370 2.0164 8.7302
0.4565 4.5761 7.0610
0.4565 7.5224 7.0610
1.3041 4.4486 4.2685
1.3041 7.6499 4.2685
1.5635 2.0164 5.8410
1.7988 4.5345 1.0289
1.7988 7.5640 1.0289
2.1225 2.0164 2.7873
3.1193 6.0492 6.1817
3.4430 0.5017 7.9402
3.4430 3.5312 7.9402
3.6782 6.0492 3.1280
3.9376 0.4157 4.7005
3.9376 3.6171 4.7005
4.7852 0.5433 1.9080
4.7852 3.4896 1.9080
5.0047 6.0492 0.2388
```

***

6.
Structure and calculated powder diffractogram of Na4InF5 (a structure optimized by DFT (PBE); a wavelength of 1.5418 Å).
Peak positions follow from Bragg's law for the DFT cell and can differ from measured ones.

Most intense lines, 2θ = 15–90°, by angle:
2theta  intensity
16.77  55
20.21  73
31.42  90
32.99  50
38.06  100
51.23  59
54.91  29
57.93  30

Structure:
```
Na4InF5
1.0
-3.7386 3.7386 2.7151
3.7386 -3.7386 2.7151
3.7386 3.7386 -2.7151
Na In F
4 1 5
Cartesian
5.2390 0.7651 0.0000
0.7651 2.2383 0.0000
2.9735 1.5003 2.7151
-1.5003 2.9735 2.7151
0.0000 0.0000 2.6374
2.9019 1.3590 0.4108
2.3797 -0.8367 3.1259
1.3590 4.5753 0.4108
0.8367 2.3797 3.1259
0.0000 0.0000 4.9076
```

***

7.
Structure and calculated powder diffractogram of Na2NdInF8 (a structure optimized by DFT (PBE); a wavelength of 1.5418 Å).
Peak positions follow from Bragg's law for the DFT cell and can differ from measured ones.

Most intense lines, 2θ = 15–90°, by angle:
2theta  intensity
15.88  54
23.12  38
28.18  100
36.76  19
39.92  18
46.64  52
54.83  15
55.87  14

Structure:
```
Na2NdInF8
1.0
3.8537 0.0000 0.0000
0.0000 5.5798 0.0000
0.0000 0.0000 7.6782
Na Nd In F
2 1 1 8
Cartesian
0.0000 0.0000 1.8018
0.0000 0.0000 5.8763
1.9269 2.7899 3.8391
1.9269 2.7899 0.0000
0.0000 1.4312 3.8391
0.0000 1.5545 0.0000
0.0000 4.0253 0.0000
0.0000 4.1486 3.8391
1.9269 1.5057 1.8095
1.9269 1.5057 5.8687
1.9269 4.0740 1.8095
1.9269 4.0740 5.8687
```

***

8.
Structure and calculated powder diffractogram of NaIn2PbF6 (a structure optimized by DFT (PBE); a wavelength of 1.5418 Å).
Peak positions follow from Bragg's law for the DFT cell and can differ from measured ones.

Most intense lines, 2θ = 15–90°, by angle:
2theta  intensity
16.59  42
16.88  34
26.72  58
27.77  50
28.33  100
29.27  51
29.56  45
41.41  45

Structure:
```
NaIn2PbF6
1.0
6.0618 0.0000 0.0000
2.6951 5.4947 0.0000
0.0325 3.3462 5.3435
Na In Pb F
1 2 1 6
Cartesian
0.0000 0.0000 0.0000
3.0798 4.7150 3.7553
6.0212 3.3331 1.2522
5.7291 6.8799 2.6587
0.6645 1.2072 1.8751
2.4880 3.7703 1.7760
2.0450 2.8526 4.3572
4.1136 1.4363 0.4201
4.6963 3.0430 3.4743
7.1402 5.4777 4.3093
```